The following is a computed powder XRD pattern of HoRe2Si4. It was derived from a DFT-relaxed cell (PBE, Alexandria), using Cu Ka.

Cell and atoms:
```
data_HoRe2Si4
_chemical_formula_sum 'Ho4 Re8 Si16'
_cell_length_a 16.280
_cell_length_b 4.081
_cell_length_c 6.636
_cell_angle_alpha 90.00
_cell_angle_beta 90.00
_cell_angle_gamma 90.00
_space_group_name_H-M_alt 'P n m a'
_space_group_IT_number 62
loop_
_space_group_symop_operation_xyz
'x,y,z'
'-x,-y,-z'
'-x+1/2,-y,z+1/2'
'x+1/2,y,-z+1/2'
'x+1/2,-y+1/2,-z+1/2'
'-x+1/2,y+1/2,z+1/2'
'-x,y+1/2,-z'
'x,-y+1/2,z'
loop_
_atom_site_label
_atom_site_fract_x
_atom_site_fract_y
_atom_site_fract_z
Ho1 0.141 0.250 0.090
Re1 0.056 0.750 0.755
Re2 0.192 0.250 0.594
Si1 0.017 0.750 0.119
Si2 0.047 0.250 0.514
Si3 0.192 0.750 0.375
Si4 0.207 0.750 0.814
```

Top 10 peaks for 2θ = 10–90°, by angle:
- (0 1 1), 2θ = 25.64°, I 38
- (1 0 2), 2θ = 27.43°, I 48
- (2 1 1), 2θ = 27.91°, I 51
- (5 0 1), 2θ = 30.57°, I 36
- (4 1 0), 2θ = 31.03°, I 89
- (6 0 1), 2θ = 35.75°, I 46
- (2 1 2), 2θ = 36.61°, I 60
- (3 1 2), 2θ = 38.72°, I 100
- (0 2 0), 2θ = 44.40°, I 54
- (8 1 3), 2θ = 66.50°, I 36

=====

The following is a computed powder XRD pattern of NdPN2. It was derived from a DFT-relaxed cell (PBE, Alexandria), using Cu Ka.

Cell and atoms:
```
data_NdPN2
_chemical_formula_sum 'Nd4 P4 N8'
_cell_length_a 6.975
_cell_length_b 6.245
_cell_length_c 6.863
_cell_angle_alpha 90.00
_cell_angle_beta 116.69
_cell_angle_gamma 90.00
_space_group_name_H-M_alt 'C 1 2/c 1'
_space_group_IT_number 15
loop_
_space_group_symop_operation_xyz
'x,y,z'
'-x,-y,-z'
'-x,y,-z+1/2'
'x,-y,z+1/2'
'x+1/2,y+1/2,z'
'-x+1/2,-y+1/2,-z'
'-x+1/2,y+1/2,-z+1/2'
'x+1/2,-y+1/2,z+1/2'
loop_
_atom_site_label
_atom_site_fract_x
_atom_site_fract_y
_atom_site_fract_z
Nd1 0.000 0.149 0.250
P1 0.000 0.348 0.750
N1 0.126 0.208 0.647
```

Top 10 peaks for 2θ = 10–90°, by angle:
- (1 1 0), 2θ = 20.13°, I 66
- (1 1 -1), 2θ = 20.73°, I 87
- (2 0 0), 2θ = 28.64°, I 100
- (0 0 2), 2θ = 29.13°, I 87
- (2 0 -2), 2θ = 30.36°, I 51
- (0 2 1), 2θ = 32.17°, I 96
- (2 2 -1), 2θ = 38.74°, I 73
- (1 3 0), 2θ = 45.98°, I 27
- (2 2 1), 2θ = 48.07°, I 32
- (2 0 2), 2θ = 50.28°, I 57

=====

The following is a computed powder XRD pattern of SrSnI5. It was derived from a DFT-relaxed cell (PBE, Alexandria), using Cu Ka.

Cell and atoms:
```
data_SrSnI5
_chemical_formula_sum 'Sr4 Sn4 I20'
_cell_length_a 13.025
_cell_length_b 9.428
_cell_length_c 12.656
_cell_angle_alpha 90.00
_cell_angle_beta 118.05
_cell_angle_gamma 90.00
_space_group_name_H-M_alt 'C 1 2/c 1'
_space_group_IT_number 15
loop_
_space_group_symop_operation_xyz
'x,y,z'
'-x,-y,-z'
'-x,y,-z+1/2'
'x,-y,z+1/2'
'x+1/2,y+1/2,z'
'-x+1/2,-y+1/2,-z'
'-x+1/2,y+1/2,-z+1/2'
'x+1/2,-y+1/2,z+1/2'
loop_
_atom_site_label
_atom_site_fract_x
_atom_site_fract_y
_atom_site_fract_z
Sr1 0.000 0.128 0.250
Sn1 0.000 0.500 0.000
I1 0.000 0.478 0.250
I2 0.020 0.183 0.516
I3 0.239 0.051 0.874
```

Top 10 peaks for 2θ = 10–90°, by angle:
- (2 0 0), 2θ = 15.42°, I 67
- (1 1 -2), 2θ = 16.88°, I 37
- (1 1 2), 2θ = 22.76°, I 60
- (3 1 -2), 2θ = 23.10°, I 37
- (2 0 -4), 2θ = 28.21°, I 100
- (1 3 0), 2θ = 29.47°, I 74
- (4 0 0), 2θ = 31.12°, I 71
- (3 3 0), 2θ = 37.00°, I 43
- (2 0 4), 2θ = 42.11°, I 32
- (5 3 -4), 2θ = 47.44°, I 32

=====

The following is a computed powder XRD pattern of Pr2CuAg2Pd5. It was derived from a DFT-relaxed cell (PBE, Alexandria), using Cu Ka.

Cell and atoms:
```
data_Pr2CuAg2Pd5
_chemical_formula_sum 'Pr4 Cu2 Ag4 Pd10'
_cell_length_a 9.826
_cell_length_b 9.826
_cell_length_c 4.025
_cell_angle_alpha 90.00
_cell_angle_beta 90.00
_cell_angle_gamma 90.00
_space_group_name_H-M_alt 'P 4/m b m'
_space_group_IT_number 127
_space_group_name_Hall '-P 4 2ab'
loop_
_atom_site_label
_atom_site_fract_x
_atom_site_fract_y
_atom_site_fract_z
Pr1 0.175 0.325 0.000
Cu1 0.000 0.000 0.000
Ag1 0.125 0.625 0.000
Pd1 0.000 0.500 0.500
Pd2 0.052 0.806 0.500
```

Top 10 peaks for 2θ = 10–90°, by angle:
- (2 0 1), 2θ = 28.68°, I 15
- (2 2 1), 2θ = 34.09°, I 20
- (3 1 1), 2θ = 36.53°, I 100
- (4 1 0), 2θ = 37.75°, I 38
- (3 3 0), 2θ = 38.89°, I 28
- (3 2 1), 2θ = 39.95°, I 36
- (4 0 1), 2θ = 43.14°, I 20
- (0 0 2), 2θ = 45.05°, I 28
- (4 1 2), 2θ = 60.18°, I 19
- (3 3 2), 2θ = 61.00°, I 16

=====

The following is a computed powder XRD pattern of Al3Ni9C. It was derived from a DFT-relaxed cell (PBE, Alexandria), using Cu Ka.

Cell and atoms:
```
data_Al3Ni9C
_chemical_formula_sum 'Al3 Ni9 C1'
_cell_length_a 3.697
_cell_length_b 3.697
_cell_length_c 10.525
_cell_angle_alpha 90.00
_cell_angle_beta 90.00
_cell_angle_gamma 90.00
_space_group_name_H-M_alt 'P 4/m m m'
_space_group_IT_number 123
_space_group_name_Hall '-P 4 2'
loop_
_atom_site_label
_atom_site_fract_x
_atom_site_fract_y
_atom_site_fract_z
Al1 0.000 0.000 0.000
Al2 0.000 0.000 0.315
Ni1 0.000 0.500 0.160
Ni2 0.000 0.500 0.500
Ni3 0.500 0.500 0.000
Ni4 0.500 0.500 0.324
C1 0.500 0.500 0.500
```

Top 10 peaks for 2θ = 10–90°, by angle:
- (1 0 0), 2θ = 24.07°, I 9
- (0 0 3), 2θ = 25.39°, I 4
- (1 1 0), 2θ = 34.30°, I 2
- (1 0 3), 2θ = 35.27°, I 5
- (1 1 3), 2θ = 43.15°, I 100
- (2 0 0), 2θ = 49.29°, I 36
- (0 0 6), 2θ = 52.14°, I 14
- (2 2 0), 2θ = 72.28°, I 10
- (2 0 6), 2θ = 74.58°, I 17
- (3 1 3), 2θ = 88.05°, I 23

=====

The following is a computed powder XRD pattern of SrAl2Au5. It was derived from a DFT-relaxed cell (PBE, Alexandria), using Cu Ka.

Cell and atoms:
```
data_SrAl2Au5
_chemical_formula_sum 'Sr2 Al4 Au10'
_cell_length_a 4.302
_cell_length_b 7.018
_cell_length_c 11.071
_cell_angle_alpha 90.00
_cell_angle_beta 90.00
_cell_angle_gamma 90.00
_space_group_name_H-M_alt 'I m m m'
_space_group_IT_number 71
_space_group_name_Hall '-I 2 2'
loop_
_atom_site_label
_atom_site_fract_x
_atom_site_fract_y
_atom_site_fract_z
Sr1 0.000 0.000 0.000
Al1 0.000 0.500 0.234
Au1 0.000 0.204 0.360
Au2 0.000 0.500 0.000
```

Top 10 peaks for 2θ = 10–90°, by angle:
- (0 1 1), 2θ = 14.95°, I 42
- (0 2 2), 2θ = 30.16°, I 16
- (1 0 3), 2θ = 31.95°, I 100
- (1 2 1), 2θ = 33.95°, I 93
- (0 2 4), 2θ = 41.56°, I 48
- (2 0 0), 2θ = 42.00°, I 33
- (1 3 0), 2θ = 44.06°, I 26
- (0 3 3), 2θ = 45.93°, I 16
- (2 2 4), 2θ = 60.57°, I 32
- (1 2 7), 2θ = 68.65°, I 20